For NaPr2Cl7, a structure optimized by DFT (PBE) gives the theoretical PXRD pattern in this record (copper Kα).
Lines closer than 0.1° are merged.

Peak list (6 most intense, 2θ = 15–90°, in order of rising 2θ)
two_theta, Rel. int.
20.7, 75
21.1, 53
36.1, 100
37.7, 79
38.6, 34
50.1, 37

Cell and atoms:
```
NaPr2Cl7
1.0
2.4858 1.4352 13.3879
-2.4858 1.4352 13.3879
0.0000 -2.8704 13.3879
Na Pr Cl
1 2 7
direct
0.0000 0.0000 0.0000
0.4302 0.4302 0.4302
0.5698 0.5698 0.5698
0.0787 0.0787 0.0787
0.2191 0.2191 0.2191
0.3621 0.3621 0.3621
0.5000 0.5000 0.5000
0.6379 0.6379 0.6379
0.7809 0.7809 0.7809
0.9213 0.9213 0.9213
```